No. 1
Structure and computed powder diffractogram of Mg14ZrV (a GGA-PBE-relaxed structure; a wavelength of 1.5418 Å).

Cell and atoms:
a b c (Å): 10.194 6.386 6.386
angles (deg): 58.86 90.00 90.00
Element x y z (fractional)
Mg 0.000 0.000 0.000
Mg 0.000 0.001 0.499
Mg 0.000 0.499 0.001
Mg 0.000 0.499 0.499
Mg 0.250 0.663 0.663
Mg 0.254 0.166 0.669
Mg 0.254 0.669 0.166
Mg 0.258 0.162 0.162
Mg 0.500 0.507 0.998
Mg 0.500 0.998 0.507
Mg 0.742 0.162 0.162
Mg 0.746 0.166 0.669
Mg 0.746 0.669 0.166
Mg 0.750 0.663 0.663
Zr 0.500 0.501 0.501
V 0.500 0.999 0.999

Largest 10 diffraction maxima, in order of falling intensity, 15° ≤ 2θ ≤ 90°:
d_spacing, I (rel.)
2.408, 100
2.441, 54
2.549, 39
2.733, 28
1.353, 20
1.443, 19
1.596, 18
1.864, 17
4.882, 14
1.320, 14



No. 2
Structure and computed powder diffractogram of DyTmHg2 (a GGA-PBE-relaxed structure; a wavelength of 1.5418 Å).

Cell and atoms:
a b c (Å): 5.237 5.237 5.237
angles (deg): 60.00 60.00 60.00
Element x y z (fractional)
Dy 0.000 0.000 0.000
Tm 0.500 0.500 0.500
Hg 0.250 0.250 0.250
Hg 0.750 0.750 0.750

Largest 7 diffraction maxima, in order of falling intensity, 15° ≤ 2θ ≤ 90°:
d_spacing, I (rel.)
2.619, 100
1.512, 38
1.852, 18
1.171, 17
1.309, 12
3.703, 1
1.656, 1



No. 3
Structure and computed powder diffractogram of YN (a GGA-PBE-relaxed structure; a wavelength of 1.5418 Å).

Cell and atoms:
a b c (Å): 3.745 3.745 3.745
angles (deg): 60.00 60.00 60.00
Element x y z (fractional)
Y 0.000 0.000 0.000
N 0.750 0.750 0.750

Largest 8 diffraction maxima, in order of falling intensity, 15° ≤ 2θ ≤ 90°:
d_spacing, I (rel.)
3.058, 100
1.872, 44
1.597, 41
2.648, 35
1.215, 16
1.184, 12
1.529, 9
1.324, 6



No. 4
Structure and computed powder diffractogram of Te (a GGA-PBE-relaxed structure; a wavelength of 1.5418 Å).

Cell and atoms:
a b c (Å): 4.582 4.582 2.990
angles (deg): 90.00 90.00 141.59
Element x y z (fractional)
Te 0.000 0.000 0.000

Largest 10 diffraction maxima, in order of falling intensity, 15° ≤ 2θ ≤ 90°:
d_spacing, I (rel.)
4.327, 100
2.847, 68
2.062, 54
2.460, 45
2.990, 39
1.710, 30
2.084, 28
1.753, 16
2.164, 16
1.341, 13



No. 5
Structure and computed powder diffractogram of CeAlIr (a GGA-PBE-relaxed structure; a wavelength of 1.5418 Å).

Cell and atoms:
a b c (Å): 4.449 4.449 6.944
angles (deg): 90.00 90.00 120.00
Element x y z (fractional)
Ce 0.000 0.000 0.000
Ce 0.000 0.000 0.500
Al 0.333 0.667 0.250
Al 0.667 0.333 0.750
Ir 0.333 0.667 0.750
Ir 0.667 0.333 0.250

Largest 10 diffraction maxima, in order of falling intensity, 15° ≤ 2θ ≤ 90°:
d_spacing, I (rel.)
2.579, 100
2.224, 68
3.369, 64
1.369, 29
1.684, 28
1.343, 26
1.984, 15
1.856, 12
1.284, 12
1.425, 11



No. 6
Structure and computed powder diffractogram of Ho2Mg2O5 (a GGA-PBE-relaxed structure; a wavelength of 1.5418 Å).

Cell and atoms:
a b c (Å): 3.864 3.864 7.200
angles (deg): 90.00 90.00 90.00
Element x y z (fractional)
Ho 0.000 0.000 0.000
Ho 0.000 0.000 0.500
Mg 0.500 0.500 0.238
Mg 0.500 0.500 0.762
O 0.000 0.500 0.198
O 0.000 0.500 0.802
O 0.500 0.000 0.198
O 0.500 0.000 0.802
O 0.500 0.500 0.500

Largest 10 diffraction maxima, in order of falling intensity, 15° ≤ 2θ ≤ 90°:
d_spacing, I (rel.)
2.634, 100
3.864, 67
2.176, 52
2.732, 45
1.558, 41
1.932, 32
3.600, 24
1.503, 20
1.728, 15
1.317, 14



No. 7
Structure and computed powder diffractogram of AlCuCl4 (a GGA-PBE-relaxed structure; a wavelength of 1.5418 Å).

Cell and atoms:
a b c (Å): 12.936 7.798 6.221
angles (deg): 90.00 90.00 90.00
Element x y z (fractional)
Al 0.088 0.245 0.000
Al 0.412 0.745 0.500
Al 0.588 0.255 0.000
Al 0.912 0.755 0.500
Cu 0.162 0.994 0.497
Cu 0.338 0.494 0.997
Cu 0.662 0.506 0.497
Cu 0.838 0.006 0.997
Cl 0.071 0.748 0.612
Cl 0.093 0.245 0.650
Cl 0.163 0.014 0.121
Cl 0.166 0.474 0.118
Cl 0.334 0.974 0.618
Cl 0.337 0.514 0.621
Cl 0.407 0.745 0.150
Cl 0.429 0.248 0.112
Cl 0.571 0.752 0.612
Cl 0.593 0.255 0.650
Cl 0.663 0.486 0.121
Cl 0.666 0.026 0.118
Cl 0.834 0.526 0.618
Cl 0.837 0.986 0.621
Cl 0.907 0.755 0.150
Cl 0.929 0.252 0.112

Largest 10 diffraction maxima, in order of falling intensity, 15° ≤ 2θ ≤ 90°:
d_spacing, I (rel.)
4.552, 100
3.339, 89
3.111, 82
2.942, 76
1.761, 75
1.887, 62
3.234, 54
3.773, 44
1.613, 43
1.950, 35



No. 8
Structure and computed powder diffractogram of Tb4Se3N2 (a GGA-PBE-relaxed structure; a wavelength of 1.5418 Å).

Cell and atoms:
a b c (Å): 6.986 6.986 10.371
angles (deg): 127.83 127.83 32.87
Element x y z (fractional)
Tb 0.058 0.058 0.349
Tb 0.256 0.256 0.139
Tb 0.744 0.744 0.861
Tb 0.942 0.942 0.651
Se 0.335 0.335 0.728
Se 0.500 0.500 0.500
Se 0.665 0.665 0.272
N 0.149 0.149 0.862
N 0.851 0.851 0.138

Largest 10 diffraction maxima, in order of falling intensity, 15° ≤ 2θ ≤ 90°:
d_spacing, I (rel.)
2.908, 100
3.439, 48
2.439, 41
2.052, 27
2.146, 18
1.976, 18
1.714, 16
3.093, 16
1.454, 11
1.951, 10



No. 9
Structure and computed powder diffractogram of SnHgO3 (a GGA-PBE-relaxed structure; a wavelength of 1.5418 Å).

Cell and atoms:
a b c (Å): 5.767 5.767 5.767
angles (deg): 58.93 58.93 58.93
Element x y z (fractional)
Sn 0.000 0.000 0.000
Sn 0.500 0.500 0.500
Hg 0.250 0.250 0.250
Hg 0.750 0.750 0.750
O 0.146 0.750 0.354
O 0.250 0.646 0.854
O 0.354 0.146 0.750
O 0.646 0.854 0.250
O 0.750 0.354 0.146
O 0.854 0.250 0.646

Largest 10 diffraction maxima, in order of falling intensity, 15° ≤ 2θ ≤ 90°:
d_spacing, I (rel.)
2.883, 100
2.837, 88
2.022, 46
1.647, 41
1.638, 24
1.674, 21
1.285, 19
1.273, 17
1.441, 15
1.418, 13



No. 10
Structure and computed powder diffractogram of Li2MgPb (a GGA-PBE-relaxed structure; a wavelength of 1.5418 Å).

Cell and atoms:
a b c (Å): 4.883 4.883 4.883
angles (deg): 60.00 60.00 60.00
Element x y z (fractional)
Li 0.000 0.000 0.000
Li 0.250 0.250 0.250
Mg 0.750 0.750 0.750
Pb 0.500 0.500 0.500

Largest 10 diffraction maxima, in order of falling intensity, 15° ≤ 2θ ≤ 90°:
d_spacing, I (rel.)
3.987, 100
2.442, 62
2.082, 55
3.453, 42
1.584, 23
1.410, 23
1.167, 18
1.329, 18
1.544, 17
1.994, 13



No. 11
Structure and computed powder diffractogram of MnCoH18C6N12 (a GGA-PBE-relaxed structure; a wavelength of 1.5418 Å).

Cell and atoms:
a b c (Å): 7.398 7.398 7.398
angles (deg): 97.21 97.21 97.21
Element x y z (fractional)
Mn 0.000 0.000 0.000
Co 0.500 0.500 0.500
H 0.174 0.318 0.435
H 0.195 0.455 0.632
H 0.262 0.623 0.285
H 0.285 0.262 0.623
H 0.318 0.435 0.174
H 0.368 0.805 0.545
H 0.377 0.715 0.738
H 0.435 0.174 0.318
H 0.455 0.632 0.195
H 0.545 0.368 0.805
H 0.565 0.826 0.682
H 0.623 0.285 0.262
H 0.632 0.195 0.455
H 0.682 0.565 0.826
H 0.715 0.738 0.377
H 0.738 0.377 0.715
H 0.805 0.545 0.368
H 0.826 0.682 0.565
C 0.051 0.767 0.871
C 0.129 0.949 0.233
C 0.233 0.129 0.949
C 0.767 0.871 0.051
C 0.871 0.051 0.767
C 0.949 0.233 0.129
N 0.080 0.629 0.789
N 0.211 0.920 0.371
N 0.265 0.370 0.552
N 0.370 0.552 0.265
N 0.371 0.211 0.920
N 0.448 0.735 0.630
N 0.552 0.265 0.370
N 0.629 0.789 0.080
N 0.630 0.448 0.735
N 0.735 0.630 0.448
N 0.789 0.080 0.629
N 0.920 0.371 0.211

Largest 10 diffraction maxima, in order of falling intensity, 15° ≤ 2θ ≤ 90°:
d_spacing, I (rel.)
5.550, 100
3.039, 74
4.803, 56
2.204, 26
1.922, 14
1.726, 12
2.098, 12
2.402, 11
2.049, 11
3.632, 10



No. 12
Structure and computed powder diffractogram of LaHf2F11 (a GGA-PBE-relaxed structure; a wavelength of 1.5418 Å).

Cell and atoms:
a b c (Å): 8.489 8.489 8.489
angles (deg): 125.24 106.91 97.59
Element x y z (fractional)
La 0.250 0.250 0.000
La 0.750 0.750 0.000
Hf 0.180 0.634 0.814
Hf 0.320 0.134 0.453
Hf 0.680 0.866 0.547
Hf 0.820 0.366 0.186
F 0.000 0.500 0.500
F 0.050 0.366 0.160
F 0.053 0.968 0.289
F 0.179 0.468 0.915
F 0.206 0.890 0.840
F 0.221 0.371 0.592
F 0.279 0.871 0.150
F 0.294 0.134 0.684
F 0.321 0.236 0.289
F 0.447 0.736 0.915
F 0.450 0.610 0.316
F 0.500 0.000 0.500
F 0.550 0.390 0.684
F 0.553 0.264 0.085
F 0.679 0.764 0.711
F 0.706 0.866 0.316
F 0.721 0.129 0.850
F 0.779 0.629 0.408
F 0.794 0.110 0.160
F 0.821 0.532 0.085
F 0.947 0.032 0.711
F 0.950 0.634 0.840

Largest 10 diffraction maxima, in order of falling intensity, 15° ≤ 2θ ≤ 90°:
d_spacing, I (rel.)
4.146, 100
3.463, 92
3.750, 77
3.967, 58
2.074, 50
5.592, 49
1.933, 36
3.093, 35
2.798, 34
2.021, 22



No. 13
Structure and computed powder diffractogram of Np2Se2O (a GGA-PBE-relaxed structure; a wavelength of 1.5418 Å).

Cell and atoms:
a b c (Å): 3.148 3.148 13.130
angles (deg): 90.00 90.00 90.00
Element x y z (fractional)
Np 0.000 0.000 0.157
Np 0.000 0.000 0.843
Se 0.000 0.000 0.363
Se 0.000 0.000 0.637
O 0.000 0.000 0.000

Largest 10 diffraction maxima, in order of falling intensity, 15° ≤ 2θ ≤ 90°:
d_spacing, I (rel.)
3.148, 100
2.272, 43
2.226, 39
3.282, 29
1.797, 26
2.556, 26
4.377, 24
1.842, 23
1.408, 18
1.561, 17